# 1
Theoretical powder XRD pattern
Compound: Sm2Ni7
Radiation: Cu Kα (λ = 1.5418 Å)
Structure: DFT lattice parameters and positions (PBE)

Principal peaks in the range 2θ from 10° to 90°, low angle first:
2theta	I (rel.)	(hkl)
33.1	64.9	1 0 7
36.1	51.5	1 1 0
42.1	32.4	2 0 1
42.6	100.0	1 1 6
44.6	14.9	0 0 12
46.1	22.8	2 0 5
63.0	20.2	2 1 7
66.1	16.1	2 0 13
69.4	25.8	3 0 6
76.6	22.0	2 2 0

Atomic structure:
Cell: 4.976 4.976 24.358 Å, 90.00 90.00 120.00°
Positions (direct):
Sm 0.333 0.667 0.030
Sm 0.333 0.667 0.174
Sm 0.333 0.667 0.326
Sm 0.333 0.667 0.470
Sm 0.667 0.333 0.530
Sm 0.667 0.333 0.674
Sm 0.667 0.333 0.826
Sm 0.667 0.333 0.970
Ni 0.000 0.000 0.000
Ni 0.000 0.000 0.169
Ni 0.000 0.000 0.331
Ni 0.000 0.000 0.500
Ni 0.000 0.000 0.669
Ni 0.000 0.000 0.831
Ni 0.166 0.332 0.587
Ni 0.166 0.332 0.913
Ni 0.166 0.834 0.587
Ni 0.166 0.834 0.913
Ni 0.167 0.335 0.750
Ni 0.167 0.833 0.750
Ni 0.332 0.166 0.087
Ni 0.332 0.166 0.413
Ni 0.333 0.667 0.667
Ni 0.333 0.667 0.833
Ni 0.335 0.167 0.250
Ni 0.665 0.833 0.750
Ni 0.667 0.333 0.167
Ni 0.667 0.333 0.333
Ni 0.668 0.834 0.587
Ni 0.668 0.834 0.913
Ni 0.833 0.167 0.250
Ni 0.833 0.665 0.250
Ni 0.834 0.166 0.087
Ni 0.834 0.166 0.413
Ni 0.834 0.668 0.087
Ni 0.834 0.668 0.413

# 2
Theoretical powder XRD pattern
Compound: K3Hg
Radiation: Cu Kα (λ = 1.5418 Å)
Structure: DFT lattice parameters and positions (PBE)

Principal peaks in the range 2θ from 10° to 90°, low angle first:
2theta	I (rel.)	(hkl)
16.4	47.8	1 1 1
19.0	26.1	2 0 0
27.0	100.0	2 2 0
31.7	31.5	3 1 1
38.5	19.0	4 0 0
42.1	15.2	3 3 1
43.3	14.1	4 2 0
47.7	40.5	4 2 2
62.9	17.2	6 2 0
76.2	19.5	6 4 2

Atomic structure:
Cell: 9.347 9.347 9.347 Å, 90.00 90.00 90.00°
Positions (direct):
K 0.000 0.000 0.000
K 0.000 0.500 0.500
K 0.250 0.250 0.250
K 0.250 0.250 0.750
K 0.250 0.750 0.250
K 0.250 0.750 0.750
K 0.500 0.000 0.500
K 0.500 0.500 0.000
K 0.750 0.250 0.250
K 0.750 0.250 0.750
K 0.750 0.750 0.250
K 0.750 0.750 0.750
Hg 0.000 0.000 0.500
Hg 0.000 0.500 0.000
Hg 0.500 0.000 0.000
Hg 0.500 0.500 0.500